(1)
Starting from DFT lattice parameters and positions (GGA-PBE), the powder X-ray diffraction pattern of Ag2Hg3P4Br3 was calculated for λ = 1.5418 Å (Cu Kα).

Most intense lines, 2θ from 5° to 70°, sorted by position:
d 4.011, 22.16°, rel. 23.4
d 3.484, 25.57°, rel. 26.0
d 3.239, 27.54°, rel. 68.7
d 2.893, 30.91°, rel. 27.5
d 2.820, 31.73°, rel. 100.0
d 2.762, 32.41°, rel. 30.9
d 2.708, 33.08°, rel. 44.5
d 2.685, 33.37°, rel. 31.9
d 1.883, 48.33°, rel. 26.9
d 1.841, 49.50°, rel. 62.2

Atomic structure:
a b c (Å): 8.3296 8.3296 8.9349
angles (deg): 100.22 100.22 82.29
Atoms (fractional coordinates):
Ag 0.1532 0.1532 0.3188
Ag 0.4937 0.0030 0.4875
Ag 0.8468 0.8468 0.6812
Ag 0.9970 0.5063 0.5125
Hg 0.2580 0.2463 0.8818
Hg 0.2701 0.6245 0.2315
Hg 0.3755 0.7299 0.7685
Hg 0.6394 0.2602 0.2300
Hg 0.7398 0.3606 0.7700
Hg 0.7537 0.7420 0.1182
P 0.0674 0.0571 0.7181
P 0.0861 0.7486 0.4213
P 0.2514 0.9139 0.5787
P 0.4408 0.4306 0.0635
P 0.5694 0.5592 0.9365
P 0.7591 0.0752 0.4220
P 0.9248 0.2409 0.5780
P 0.9429 0.9326 0.2819
Br 0.0454 0.6313 0.8573
Br 0.3571 0.3525 0.5389
Br 0.3688 0.9546 0.1427
Br 0.6365 0.0392 0.8579
Br 0.6475 0.6429 0.4611
Br 0.9608 0.3635 0.1421

=====

(2)
Starting from DFT lattice parameters and positions (GGA-PBE), the powder X-ray diffraction pattern of MgSnF6 was calculated for λ = 1.5418 Å (Cu Kα).

Most intense lines, 2θ from 5° to 70°, sorted by position:
d 4.611, 19.25°, rel. 14.0
d 4.438, 20.01°, rel. 39.7
d 3.879, 22.93°, rel. 100.0
d 2.782, 32.17°, rel. 19.5
d 2.705, 33.12°, rel. 11.8
d 2.333, 38.59°, rel. 25.4
d 1.940, 46.84°, rel. 22.4
d 1.755, 52.11°, rel. 34.2
d 1.716, 53.41°, rel. 16.5
d 1.576, 58.56°, rel. 9.6

Atomic structure:
a b c (Å): 5.5692 5.5692 5.5692
angles (deg): 58.12 58.12 58.12
Atoms (fractional coordinates):
Mg 0.0000 0.0000 0.0000
Sn 0.5000 0.5000 0.5000
F 0.1608 0.7481 0.3400
F 0.2519 0.6600 0.8392
F 0.3400 0.1608 0.7481
F 0.6600 0.8392 0.2519
F 0.7481 0.3400 0.1608
F 0.8392 0.2519 0.6600

=====

(3)
Starting from DFT lattice parameters and positions (GGA-PBE), the powder X-ray diffraction pattern of KLiPH3O3F was calculated for λ = 1.5418 Å (Cu Kα).

Most intense lines, 2θ from 5° to 70°, sorted by position:
d 6.638, 13.34°, rel. 37.6
d 6.038, 14.67°, rel. 83.4
d 5.003, 17.73°, rel. 100.0
d 4.234, 20.98°, rel. 33.5
d 3.973, 22.38°, rel. 91.0
d 3.111, 28.69°, rel. 54.4
d 3.034, 29.44°, rel. 70.3
d 2.822, 31.71°, rel. 39.0
d 2.769, 32.33°, rel. 53.0
d 2.587, 34.67°, rel. 34.5

Atomic structure:
a b c (Å): 5.5394 7.9466 13.2032
angles (deg): 90.00 113.85 90.00
Atoms (fractional coordinates):
K 0.1454 0.2350 0.3540
K 0.1454 0.2650 0.8540
K 0.8546 0.7350 0.1460
K 0.8546 0.7650 0.6460
Li 0.3003 0.0531 0.6178
Li 0.3003 0.4469 0.1178
Li 0.6997 0.5531 0.8822
Li 0.6997 0.9469 0.3822
P 0.2382 0.7080 0.9466
P 0.2382 0.7920 0.4466
P 0.7618 0.2080 0.5534
P 0.7618 0.2920 0.0534
H 0.3138 0.5873 0.6985
H 0.3138 0.9127 0.1985
H 0.4216 0.0176 0.1888
H 0.4216 0.4824 0.6888
H 0.4961 0.6038 0.3214
H 0.4961 0.8962 0.8214
H 0.5039 0.1038 0.1786
H 0.5039 0.3962 0.6786
H 0.5784 0.5176 0.3112
H 0.5784 0.9824 0.8112
H 0.6862 0.0873 0.8015
H 0.6862 0.4127 0.3015
O 0.0001 0.1234 0.6429
O 0.0001 0.3766 0.1429
O 0.9999 0.6234 0.8571
O 0.9999 0.8766 0.3571
O 0.2687 0.6749 0.0652
O 0.2687 0.8251 0.5652
O 0.4937 0.6897 0.9307
O 0.4937 0.8103 0.4307
O 0.5063 0.1897 0.5693
O 0.5063 0.3103 0.0693
O 0.7313 0.1749 0.4348
O 0.7313 0.3251 0.9348
F 0.1736 0.5914 0.4284
F 0.1736 0.9086 0.9284
F 0.8264 0.0914 0.0716
F 0.8264 0.4086 0.5716

=====

(4)
Starting from DFT lattice parameters and positions (GGA-PBE), the powder X-ray diffraction pattern of Li3CuPCO7 was calculated for λ = 1.5418 Å (Cu Kα).

Most intense lines, 2θ from 5° to 70°, sorted by position:
d 5.106, 17.37°, rel. 100.0
d 5.036, 17.61°, rel. 48.3
d 4.227, 21.02°, rel. 50.1
d 3.505, 25.41°, rel. 18.8
d 3.295, 27.06°, rel. 31.6
d 3.219, 27.72°, rel. 24.1
d 3.135, 28.47°, rel. 90.5
d 2.554, 35.14°, rel. 37.2
d 2.538, 35.36°, rel. 17.8
d 2.276, 39.61°, rel. 32.1

Atomic structure:
a b c (Å): 5.1077 6.2705 8.4570
angles (deg): 90.00 91.37 90.00
Atoms (fractional coordinates):
Li 0.0190 0.0000 0.9997
Li 0.4462 0.6810 0.8163
Li 0.4480 0.9239 0.4913
Li 0.5520 0.4239 0.5087
Li 0.5538 0.1810 0.1837
Li 0.9810 0.5000 0.0003
Cu 0.0257 0.2447 0.7253
Cu 0.9743 0.7447 0.2747
P 0.0384 0.2422 0.3389
P 0.9616 0.7422 0.6611
C 0.4919 0.7320 0.1297
C 0.5081 0.2320 0.8703
O 0.0152 0.9386 0.7690
O 0.0817 0.5558 0.7645
O 0.1138 0.7657 0.5079
O 0.2430 0.7542 0.0927
O 0.3341 0.2059 0.3708
O 0.3445 0.2167 0.9849
O 0.4327 0.2301 0.7232
O 0.5673 0.7301 0.2768
O 0.6555 0.7167 0.0151
O 0.6659 0.7059 0.6292
O 0.7570 0.2542 0.9073
O 0.8862 0.2657 0.4921
O 0.9183 0.0558 0.2355
O 0.9848 0.4386 0.2310

=====

(5)
Starting from DFT lattice parameters and positions (GGA-PBE), the powder X-ray diffraction pattern of LaTa2NO5 was calculated for λ = 1.5418 Å (Cu Kα).

Most intense lines, 2θ from 5° to 70°, sorted by position:
d 3.865, 23.01°, rel. 25.9
d 3.191, 27.96°, rel. 21.0
d 3.117, 28.64°, rel. 86.5
d 3.051, 29.27°, rel. 100.0
d 2.766, 32.36°, rel. 36.2
d 2.283, 39.47°, rel. 22.3
d 1.932, 47.02°, rel. 19.8
d 1.761, 51.93°, rel. 24.3
d 1.642, 55.99°, rel. 28.1
d 1.597, 57.75°, rel. 22.4

Atomic structure:
a b c (Å): 5.5333 11.3164 7.7298
angles (deg): 90.00 90.12 90.00
Atoms (fractional coordinates):
La 0.2026 0.0000 0.0003
La 0.2956 0.9200 0.5016
La 0.7044 0.4200 0.4984
La 0.7974 0.5000 0.9997
Ta 0.2028 0.3175 0.2525
Ta 0.2182 0.3236 0.7465
Ta 0.2883 0.6135 0.7438
Ta 0.2939 0.6061 0.2526
Ta 0.7061 0.1061 0.7474
Ta 0.7117 0.1135 0.2562
Ta 0.7818 0.8236 0.2535
Ta 0.7972 0.8175 0.7475
N 0.1233 0.7552 0.6962
N 0.2993 0.3201 0.5006
N 0.7007 0.8201 0.4994
N 0.8767 0.2552 0.3038
O 0.0231 0.4909 0.2838
O 0.0258 0.4880 0.7168
O 0.1012 0.3440 0.9994
O 0.1196 0.7508 0.3011
O 0.2050 0.6064 0.0008
O 0.3806 0.1734 0.1912
O 0.3829 0.1755 0.8089
O 0.3997 0.5864 0.4988
O 0.4787 0.4452 0.2132
O 0.4875 0.4366 0.7879
O 0.5125 0.9366 0.2121
O 0.5213 0.9452 0.7868
O 0.6003 0.0864 0.5012
O 0.6171 0.6755 0.1911
O 0.6194 0.6734 0.8088
O 0.7950 0.1064 0.9992
O 0.8804 0.2508 0.6989
O 0.8988 0.8440 0.0006
O 0.9742 0.9880 0.2832
O 0.9769 0.9909 0.7162

=====

(6)
Starting from DFT lattice parameters and positions (GGA-PBE), the powder X-ray diffraction pattern of SrSi was calculated for λ = 1.5418 Å (Cu Kα).

Most intense lines, 2θ from 5° to 70°, sorted by position:
d 3.803, 23.39°, rel. 30.6
d 2.689, 33.32°, rel. 100.0
d 2.196, 41.11°, rel. 9.7
d 1.902, 47.83°, rel. 17.6
d 1.701, 53.90°, rel. 13.2
d 1.553, 59.54°, rel. 36.3
d 1.345, 69.96°, rel. 11.3

Atomic structure:
a b c (Å): 3.8034 3.8034 3.8034
angles (deg): 90.00 90.00 90.00
Atoms (fractional coordinates):
Sr 0.0000 0.0000 0.0000
Si 0.5000 0.5000 0.5000

=====

(7)
Starting from DFT lattice parameters and positions (GGA-PBE), the powder X-ray diffraction pattern of SmEuS2 was calculated for λ = 1.5418 Å (Cu Kα).

Most intense lines, 2θ from 5° to 70°, sorted by position:
d 3.334, 26.74°, rel. 76.9
d 2.887, 30.97°, rel. 100.0
d 2.042, 44.37°, rel. 72.7
d 1.741, 52.56°, rel. 38.4
d 1.667, 55.09°, rel. 25.3
d 1.445, 64.51°, rel. 7.8
d 1.442, 64.65°, rel. 3.9

Atomic structure:
a b c (Å): 4.0860 4.0860 5.7672
angles (deg): 90.00 90.00 90.00
Atoms (fractional coordinates):
Sm 0.0000 0.0000 0.0000
Eu 0.5000 0.5000 0.5000
S 0.0000 0.0000 0.5000
S 0.5000 0.5000 0.0000